Entry 1:
Structure and computed powder diffraction line list of Ba2MgNb6N2O14 (a DFT-relaxed cell (PBE, the Materials Project); CuKα).
Peak positions follow from Bragg's law for the DFT cell and can differ from measured ones.

Crystal structure
Cell lengths 20.861, 4.005, 9.119 Å; angles 90.00, 91.65, 90.00 degrees
Space group Cm (No. 8)
Asymmetric unit:
Ba 0.000 0.000 0.000 (multiplicity 2)
Ba 0.035 0.000 0.520 (multiplicity 2)
Mg 0.246 0.000 0.334 (multiplicity 2)
Nb 0.149 0.500 0.206 (multiplicity 2)
Nb 0.160 0.500 0.817 (multiplicity 2)
Nb 0.260 0.000 0.993 (multiplicity 2)
Nb 0.295 0.500 0.549 (multiplicity 2)
Nb 0.390 0.000 0.686 (multiplicity 2)
Nb 0.393 0.000 0.314 (multiplicity 2)
N 0.230 0.500 0.685 (multiplicity 2)
N 0.314 0.000 0.504 (multiplicity 2)
O 0.085 0.500 0.338 (multiplicity 2)
O 0.090 0.500 0.690 (multiplicity 2)
O 0.100 0.500 0.024 (multiplicity 2)
O 0.169 0.000 0.872 (multiplicity 2)
O 0.171 0.000 0.190 (multiplicity 2)
O 0.228 0.500 0.358 (multiplicity 2)
O 0.234 0.500 0.016 (multiplicity 2)
O 0.312 0.000 0.176 (multiplicity 2)
O 0.321 0.000 0.856 (multiplicity 2)
O 0.385 0.500 0.340 (multiplicity 2)
O 0.385 0.500 0.678 (multiplicity 2)
O 0.447 0.000 0.508 (multiplicity 2)
O 0.456 0.000 0.177 (multiplicity 2)
O 0.458 0.000 0.828 (multiplicity 2)

Main lines, in order of falling intensity (2θ = 10–90°):
2θ/deg  I/Imax
25.62  100
30.09  35
30.95  34
26.34  33
27.66  27
45.28  25
29.93  20
52.73  16
27.37  15
46.57  14



Entry 2:
Structure and computed powder diffraction line list of Ba2MgNb6N2O14 (a DFT-relaxed cell (PBE, the Materials Project); CuKα).
Peak positions follow from Bragg's law for the DFT cell and can differ from measured ones.

Crystal structure
Cell lengths 20.801, 4.018, 9.061 Å; angles 90.00, 90.78, 90.00 degrees
Space group Cm (No. 8)
Asymmetric unit:
Ba 0.000 0.000 0.000 (multiplicity 2)
Ba 0.034 0.000 0.512 (multiplicity 2)
Mg 0.241 0.000 0.329 (multiplicity 2)
Nb 0.149 0.500 0.191 (multiplicity 2)
Nb 0.154 0.500 0.824 (multiplicity 2)
Nb 0.257 0.000 0.997 (multiplicity 2)
Nb 0.294 0.500 0.542 (multiplicity 2)
Nb 0.388 0.000 0.304 (multiplicity 2)
Nb 0.389 0.000 0.696 (multiplicity 2)
N 0.226 0.500 0.009 (multiplicity 2)
N 0.312 0.000 0.170 (multiplicity 2)
O 0.085 0.500 0.330 (multiplicity 2)
O 0.087 0.500 0.684 (multiplicity 2)
O 0.094 0.500 0.012 (multiplicity 2)
O 0.163 0.000 0.850 (multiplicity 2)
O 0.166 0.000 0.185 (multiplicity 2)
O 0.227 0.500 0.360 (multiplicity 2)
O 0.229 0.500 0.676 (multiplicity 2)
O 0.305 0.000 0.504 (multiplicity 2)
O 0.314 0.000 0.838 (multiplicity 2)
O 0.374 0.500 0.359 (multiplicity 2)
O 0.382 0.500 0.683 (multiplicity 2)
O 0.439 0.000 0.510 (multiplicity 2)
O 0.455 0.000 0.179 (multiplicity 2)
O 0.456 0.000 0.833 (multiplicity 2)

Main lines, in order of falling intensity (2θ = 10–90°):
2θ/deg  I/Imax
30.05  100
25.91  95
25.63  76
26.27  67
30.94  64
45.13  46
27.42  37
27.54  37
52.77  28
34.50  27